(1)
Diffraction record for Li2RuF6. The powder diffraction line list is computed, not measured: it uses the PBE geometry in Alexandria and Cu Kα, 1.54184 Å.
Intensities are scaled so that the largest is 100.

Structure:
Cell: 4.774 5.332 8.575 Å, 90.00 90.00 90.00°
Space group Pnnm (No. 58)
Asymmetric unit:
Li1 0.000 0.000 0.187 (multiplicity 4)
Ru1 0.000 0.500 0.000 (multiplicity 2)
F1 0.200 0.178 0.000 (multiplicity 4)
F2 0.229 0.654 0.162 (multiplicity 8)

Main lines, in order of falling intensity (2θ from 10° to 90°):
hkl	2θ/deg	intensity
1 0 1	21.30	100
0 1 1	19.61	86
1 1 2	32.71	44
1 1 0	25.04	37
0 0 2	20.72	34
2 1 3	52.84	28
1 2 1	40.14	23
1 1 3	40.49	21
2 1 1	42.83	16
0 3 3	61.43	14
1 0 3	36.64	14
2 2 0	51.38	14

=====

(2)
Diffraction record for Li2RuF. The powder diffraction line list is computed, not measured: it uses the PBE geometry in Alexandria and Cu Kα, 1.54184 Å.
Intensities are scaled so that the largest is 100.

Structure:
Cell: 2.6735 2.6735 7.1183 Å, 90.00 90.00 120.00°
Space group P-6m2 (No. 187)
Asymmetric unit:
Li1 0.0000 0.0000 0.1738 (multiplicity 2)
Ru1 0.3333 0.6667 0.5000 (multiplicity 1)
F1 0.6667 0.3333 0.0000 (multiplicity 1)

Main lines, in order of falling intensity (2θ from 10° to 90°):
hkl	2θ/deg	intensity
0 0 1	12.43	100
1 0 1	40.99	71
0 0 2	25.02	46
1 0 2	46.81	35
1 0 3	55.45	26
1 0 0	38.90	24
1 0 4	66.24	12
1 1 2	76.05	10
0 0 3	37.92	10
1 0 5	78.94	10
1 1 0	70.44	9
2 0 1	84.86	8

=====

(3)
Diffraction record for Li3RuF8. The powder diffraction line list is computed, not measured: it uses the PBE geometry in Alexandria and Cu Kα, 1.54184 Å.
Intensities are scaled so that the largest is 100.

Structure:
Cell: 4.964 4.964 4.964 Å, 90.00 90.00 90.00°
Space group Pm-3m (No. 221)
Asymmetric unit:
Li1 0.000 0.000 0.500 (multiplicity 3)
Ru1 0.500 0.500 0.500 (multiplicity 1)
F1 0.264 0.264 0.264 (multiplicity 8)

Main lines, in order of falling intensity (2θ from 10° to 90°):
hkl	2θ/deg	intensity
1 0 0	17.87	100
1 1 0	25.37	66
2 2 0	52.11	58
1 1 1	31.21	37
2 1 0	40.64	27
2 1 1	44.72	27
2 2 1	55.54	19
3 1 1	62.01	15
3 2 1	71.05	14
3 2 0	68.10	13
3 1 0	58.83	11
4 1 0	79.63	8

=====

(4)
Diffraction record for Li4SF2. The powder diffraction line list is computed, not measured: it uses the PBE geometry in Alexandria and Cu Kα, 1.54184 Å.
Intensities are scaled so that the largest is 100.

Structure:
Cell: 3.389 10.049 9.764 Å, 90.00 90.00 90.00°
Space group Cmcm (No. 63)
Asymmetric unit:
Li1 0.000 0.000 0.000 (multiplicity 4)
Li2 0.000 0.288 0.110 (multiplicity 8)
Li3 0.000 0.439 0.750 (multiplicity 4)
S1 0.000 0.103 0.750 (multiplicity 4)
F1 0.000 0.365 0.565 (multiplicity 8)

Main lines, in order of falling intensity (2θ from 10° to 90°):
hkl	2θ/deg	intensity
0 2 3	32.78	100
1 3 1	38.91	76
1 1 2	33.40	62
1 1 1	29.28	56
1 3 2	42.21	44
0 4 0	35.74	31
0 0 6	56.50	30
0 2 1	19.87	28
1 1 5	55.04	26
2 0 0	54.13	23
2 2 3	64.74	19
1 3 5	61.39	19

=====

(5)
Diffraction record for Li5SF2. The powder diffraction line list is computed, not measured: it uses the PBE geometry in Alexandria and Cu Kα, 1.54184 Å.
Intensities are scaled so that the largest is 100.

Structure:
Cell: 3.920 3.920 14.837 Å, 90.00 90.00 90.00°
Space group I4/mmm (No. 139)
Asymmetric unit:
Li1 0.000 0.000 0.000 (multiplicity 2)
Li2 0.000 0.500 0.127 (multiplicity 8)
S1 0.000 0.000 0.500 (multiplicity 2)
F1 0.000 0.000 0.126 (multiplicity 4)

Main lines, in order of falling intensity (2θ from 10° to 90°):
hkl	2θ/deg	intensity
0 0 2	11.93	100
1 0 3	29.07	92
1 0 5	38.03	39
1 1 0	32.30	35
2 0 0	46.33	33
1 1 2	34.55	25
2 1 3	55.63	22
2 0 8	69.82	16
2 1 5	61.43	15
0 0 8	49.13	14
2 2 0	67.60	9
2 0 2	48.01	9

=====

(6)
Diffraction record for Li3SbF9. The powder diffraction line list is computed, not measured: it uses the PBE geometry in Alexandria and Cu Kα, 1.54184 Å.
Intensities are scaled so that the largest is 100.

Structure:
Cell: 13.601 7.950 9.844 Å, 90.00 122.05 90.00°
Space group C2/c (No. 15)
Asymmetric unit:
Li1 0.000 0.007 0.250 (multiplicity 4)
Li2 0.102 0.403 0.185 (multiplicity 8)
Sb1 0.250 0.250 0.000 (multiplicity 4)
F1 0.000 0.500 0.000 (multiplicity 4)
F2 0.080 0.196 0.255 (multiplicity 8)
F3 0.100 0.150 0.918 (multiplicity 8)
F4 0.179 0.447 0.874 (multiplicity 8)
F5 0.244 0.347 0.174 (multiplicity 8)

Main lines, in order of falling intensity (2θ from 10° to 90°):
hkl	2θ/deg	intensity
1 1 -1	14.47	100
1 1 1	19.60	88
2 0 -2	18.49	36
2 0 0	15.37	33
3 1 -1	22.64	26
1 1 -3	30.92	17
2 2 0	27.25	16
2 2 -2	29.17	16
0 2 0	22.37	13
5 1 -1	36.28	12
4 0 -2	26.68	11
4 0 0	31.05	10

=====

(7)
Diffraction record for LiSb2F7. The powder diffraction line list is computed, not measured: it uses the PBE geometry in Alexandria and Cu Kα, 1.54184 Å.
Intensities are scaled so that the largest is 100.

Structure:
Cell: 8.803 14.528 5.049 Å, 90.00 90.00 90.00°
Space group Pnma (No. 62)
Asymmetric unit:
Li1 0.055 0.250 0.119 (multiplicity 4)
Sb1 0.122 0.600 0.326 (multiplicity 8)
F1 0.026 0.656 0.641 (multiplicity 8)
F2 0.099 0.750 0.170 (multiplicity 4)
F3 0.160 0.007 0.582 (multiplicity 8)
F4 0.182 0.150 0.953 (multiplicity 8)

Main lines, in order of falling intensity (2θ from 10° to 90°):
hkl	2θ/deg	intensity
2 1 0	21.12	100
2 3 0	27.40	94
0 3 1	25.49	72
2 0 1	26.87	68
0 1 1	18.60	68
0 4 0	24.51	42
2 4 1	36.69	40
2 6 1	46.43	38
4 1 1	45.41	36
1 0 1	20.27	34
1 3 2	41.66	34
4 3 1	48.91	27

=====

(8)
Diffraction record for Li2SbF6. The powder diffraction line list is computed, not measured: it uses the PBE geometry in Alexandria and Cu Kα, 1.54184 Å.
Intensities are scaled so that the largest is 100.

Structure:
Cell: 4.843 4.843 9.485 Å, 90.00 90.00 90.00°
Space group P4_2/mnm (No. 136)
Asymmetric unit:
Li1 0.000 0.000 0.163 (multiplicity 4)
Sb1 0.000 0.000 0.500 (multiplicity 2)
F1 0.197 0.197 0.336 (multiplicity 8)
F2 0.198 0.198 0.000 (multiplicity 4)

Main lines, in order of falling intensity (2θ from 10° to 90°):
hkl	2θ/deg	intensity
1 0 1	20.59	100
1 1 0	26.02	44
0 0 2	18.71	33
1 1 2	32.24	33
2 1 3	51.12	32
2 1 1	42.83	29
1 0 3	33.86	18
1 1 3	38.76	16
2 0 2	41.89	15
3 0 3	64.85	14
1 1 4	46.59	11
2 2 0	53.52	11

=====

(9)
Diffraction record for LiSbTe2F. The powder diffraction line list is computed, not measured: it uses the PBE geometry in Alexandria and Cu Kα, 1.54184 Å.
Intensities are scaled so that the largest is 100.

Structure:
Cell: 5.405 5.405 4.469 Å, 90.00 90.00 90.00°
Space group P4/mmm (No. 123)
Asymmetric unit:
Li1 0.000 0.000 0.000 (multiplicity 1)
Sb1 0.500 0.500 0.000 (multiplicity 1)
Te1 0.000 0.500 0.500 (multiplicity 2)
F1 0.500 0.500 0.500 (multiplicity 1)

Main lines, in order of falling intensity (2θ from 10° to 90°):
hkl	2θ/deg	intensity
1 1 1	30.78	100
2 0 0	33.15	51
1 0 0	16.40	35
3 1 1	57.75	34
2 0 2	53.19	26
2 2 0	47.58	18
0 0 2	40.36	15
2 2 2	64.12	14
0 0 1	19.87	12
1 0 1	25.87	11
3 1 3	86.70	11
1 1 3	67.48	10